(1)
Simulated X-ray powder pattern
Compound: Sc5Co2Ir
Radiation: λ = 1.5418 Å (Cu Kα)
Structure: DFT lattice parameters and positions (PBE)
Intensities are scaled so that the largest is 100.

Cell and atoms:
Cell: 6.654 6.654 13.322 Å, 90.00 90.00 90.00°
Space group I4/mcm (No. 140)
Symmetry-distinct sites (fractional):
Sc1 0.000 0.000 0.000 (multiplicity 4)
Sc2 0.178 0.322 0.142 (multiplicity 16)
Co1 0.119 0.381 0.500 (multiplicity 8)
Ir1 0.000 0.000 0.250 (multiplicity 4)

Largest 10 diffraction maxima, low angle first, 5 to 70 degrees two-theta:
- 18.9°, I = 30.6, hkl 1 1 0
- 23.1°, I = 91.9, hkl 1 1 2
- 26.8°, I = 28.0, hkl 0 0 4
- 32.9°, I = 35.6, hkl 1 1 4
- 36.3°, I = 54.7, hkl 2 1 3
- 38.2°, I = 100.0, hkl 2 0 4
- 43.0°, I = 58.1, hkl 3 1 0
- 45.2°, I = 29.5, hkl 1 1 6
- 51.4°, I = 25.8, hkl 3 1 4
- 62.4°, I = 16.7, hkl 4 2 0

=====

(2)
Simulated X-ray powder pattern
Compound: Sc6CoIr5
Radiation: λ = 1.5418 Å (Cu Kα)
Structure: DFT lattice parameters and positions (PBE)
Intensities are scaled so that the largest is 100.

Cell and atoms:
Cell: 4.569 13.695 6.376 Å, 90.00 90.00 90.00°
Space group Cmmm (No. 65)
Symmetry-distinct sites (fractional):
Sc1 0.000 0.000 0.247 (multiplicity 4)
Sc2 0.000 0.335 0.248 (multiplicity 8)
Co1 0.000 0.500 0.000 (multiplicity 2)
Ir1 0.000 0.166 0.000 (multiplicity 4)
Ir2 0.000 0.167 0.500 (multiplicity 4)
Ir3 0.000 0.500 0.500 (multiplicity 2)

Largest 10 diffraction maxima, low angle first, 5 to 70 degrees two-theta:
- 27.6°, I = 43.2, hkl 1 3 0
- 28.0°, I = 20.9, hkl 0 0 2
- 39.5°, I = 51.0, hkl 2 0 0
- 39.7°, I = 100.0, hkl 1 3 2
- 49.1°, I = 19.2, hkl 2 0 2
- 57.0°, I = 17.1, hkl 2 6 0
- 57.8°, I = 8.2, hkl 0 0 4
- 64.5°, I = 8.9, hkl 3 3 0
- 64.7°, I = 8.7, hkl 2 6 2
- 65.3°, I = 8.5, hkl 1 3 4

=====

(3)
Simulated X-ray powder pattern
Compound: TmTaCoIr
Radiation: λ = 1.5418 Å (Cu Kα)
Structure: DFT lattice parameters and positions (PBE)
Intensities are scaled so that the largest is 100.

Cell and atoms:
Cell: 6.479 6.479 6.479 Å, 90.00 90.00 90.00°
Space group F-43m (No. 216)
Symmetry-distinct sites (fractional):
Tm1 0.000 0.000 0.000 (multiplicity 4)
Ta1 0.000 0.000 0.500 (multiplicity 4)
Co1 0.250 0.250 0.250 (multiplicity 4)
Ir1 0.250 0.250 0.750 (multiplicity 4)

Largest 8 diffraction maxima, low angle first, 5 to 70 degrees two-theta:
- 23.8°, I = 10.8, hkl 1 1 1
- 27.5°, I = 3.2, hkl 2 0 0
- 39.3°, I = 100.0, hkl 2 2 0
- 46.5°, I = 5.8, hkl 3 1 1
- 48.7°, I = 1.0, hkl 2 2 2
- 56.8°, I = 17.1, hkl 4 0 0
- 62.5°, I = 2.5, hkl 3 3 1
- 64.3°, I = 1.3, hkl 4 2 0

=====

Question: Number 1 is which compound?
Answer: Sc5Co2Ir